1.
Diffraction record for CsRbGa2Br8. The powder diffractogram is computed, not measured: it uses a cell relaxed with PBE and CuKα.
Neutral-atom scattering factors, no anomalous dispersion.

Principal peaks in the range 2θ = 10–90°, by angle:
17.9 deg, intensity 53
24.1 deg, intensity 31
25.4 deg, intensity 29
25.6 deg, intensity 100
26.6 deg, intensity 30
29.6 deg, intensity 74
39.0 deg, intensity 21
42.2 deg, intensity 43
42.5 deg, intensity 41
49.9 deg, intensity 20

Lattice parameters (Å, degrees): 11.346 11.346 11.346 37.92 37.92 37.92
Sites, in units of the cell vectors:
Cs: 0.000 0.000 0.000
Rb: 0.500 0.500 0.500
Ga: 0.257 0.257 0.257
Ga: 0.743 0.743 0.743
Br: 0.033 0.834 0.437
Br: 0.166 0.563 0.967
Br: 0.331 0.331 0.331
Br: 0.437 0.033 0.834
Br: 0.563 0.967 0.166
Br: 0.669 0.669 0.669
Br: 0.834 0.437 0.033
Br: 0.967 0.166 0.563

=====

2.
Diffraction record for LaZn2Cd5. The powder diffractogram is computed, not measured: it uses a cell relaxed with PBE and CuKα.
Neutral-atom scattering factors, no anomalous dispersion.

Principal peaks in the range 2θ = 10–90°, by angle:
27.7 deg, intensity 19
31.7 deg, intensity 88
33.3 deg, intensity 100
34.0 deg, intensity 14
39.4 deg, intensity 33
40.8 deg, intensity 51
42.0 deg, intensity 28
43.0 deg, intensity 34
60.8 deg, intensity 34
70.4 deg, intensity 20

Lattice parameters (Å, degrees): 4.205 8.167 10.523 90.00 90.00 90.00
Sites, in units of the cell vectors:
La: 0.000 0.000 0.000
La: 0.500 0.500 0.500
Zn: 0.000 0.500 0.265
Zn: 0.000 0.500 0.735
Zn: 0.500 0.000 0.235
Zn: 0.500 0.000 0.765
Cd: 0.000 0.193 0.353
Cd: 0.000 0.193 0.647
Cd: 0.000 0.500 0.000
Cd: 0.000 0.807 0.353
Cd: 0.000 0.807 0.647
Cd: 0.500 0.000 0.500
Cd: 0.500 0.307 0.147
Cd: 0.500 0.307 0.853
Cd: 0.500 0.693 0.147
Cd: 0.500 0.693 0.853

=====

3.
Diffraction record for Ce4Ge2Ir. The powder diffractogram is computed, not measured: it uses a cell relaxed with PBE and CuKα.
Neutral-atom scattering factors, no anomalous dispersion.

Principal peaks in the range 2θ = 10–90°, by angle:
10.7 deg, intensity 38
28.1 deg, intensity 28
31.9 deg, intensity 55
32.0 deg, intensity 100
32.5 deg, intensity 50
33.7 deg, intensity 70
34.4 deg, intensity 42
35.5 deg, intensity 81
35.6 deg, intensity 50
38.8 deg, intensity 35

Lattice parameters (Å, degrees): 6.644 6.361 8.553 90.00 104.97 90.00
Sites, in units of the cell vectors:
Ce: 0.173 0.250 0.087
Ce: 0.204 0.750 0.350
Ce: 0.314 0.026 0.734
Ce: 0.314 0.474 0.734
Ce: 0.686 0.526 0.266
Ce: 0.686 0.974 0.266
Ce: 0.796 0.250 0.650
Ce: 0.827 0.750 0.913
Ge: 0.069 0.250 0.414
Ge: 0.319 0.750 0.031
Ge: 0.681 0.250 0.969
Ge: 0.931 0.750 0.586
Ir: 0.448 0.250 0.404
Ir: 0.552 0.750 0.596

=====

4.
Diffraction record for Y4ErZr. The powder diffractogram is computed, not measured: it uses a cell relaxed with PBE and CuKα.
Neutral-atom scattering factors, no anomalous dispersion.

Principal peaks in the range 2θ = 10–90°, by angle:
30.3 deg, intensity 28
30.7 deg, intensity 93
31.6 deg, intensity 66
32.7 deg, intensity 74
34.4 deg, intensity 100
37.5 deg, intensity 37
51.0 deg, intensity 26
52.2 deg, intensity 50
59.1 deg, intensity 27
62.3 deg, intensity 54

Lattice parameters (Å, degrees): 17.126 17.126 17.126 11.74 11.74 11.74
Sites, in units of the cell vectors:
Y: 0.110 0.110 0.110
Y: 0.282 0.282 0.282
Y: 0.718 0.718 0.718
Y: 0.890 0.890 0.890
Er: 0.500 0.500 0.500
Zr: 0.000 0.000 0.000